No. 1
Starting from a DFT-relaxed cell (GGA-PBE, Alexandria), the XRD peak list of RbGe2I7 was computed for λ = 1.5418 Å (Cu Kα).
Neutral-atom scattering factors, no anomalous dispersion.

Top 10 peaks for 10° ≤ 2θ ≤ 90°, low angle first:
2θ (°)	I_rel
19.05	35
24.74	70
25.06	100
25.67	47
30.23	40
32.41	35
35.96	76
38.02	42
38.66	37
46.28	63

```
data_RbGe2I7
_cell_length_a 8.949
_cell_length_b 21.982
_cell_length_c 4.658
_cell_angle_alpha 90.00
_cell_angle_beta 90.00
_cell_angle_gamma 90.00
_symmetry_space_group_name_H-M 'C m m m'
_symmetry_Int_Tables_number 65
_symmetry_space_group_name_Hall '-C 2 2'
loop_
_atom_site_label
_atom_site_type_symbol
_atom_site_fract_x
_atom_site_fract_y
_atom_site_fract_z
_atom_site_occupancy
Rb1 Rb 0.000 0.000 0.000 1
Ge1 Ge 0.000 0.369 0.500 1
I1 I 0.000 0.293 0.000 1
I2 I 0.000 0.500 0.500 1
I3 I 0.183 0.126 0.500 1
```

No. 2
Starting from a DFT-relaxed cell (GGA-PBE, Alexandria), the XRD peak list of RbGe3I12 was computed for λ = 1.5418 Å (Cu Kα).
Neutral-atom scattering factors, no anomalous dispersion.

Top 10 peaks for 10° ≤ 2θ ≤ 90°, low angle first:
2θ (°)	I_rel
13.38	51
13.53	43
15.00	46
23.29	52
23.87	62
27.00	100
27.49	48
28.17	19
47.39	25
51.74	37

```
data_RbGe3I12
_cell_length_a 13.2321
_cell_length_b 13.2321
_cell_length_c 39.2788
_cell_angle_alpha 90.00
_cell_angle_beta 90.00
_cell_angle_gamma 120.00
_symmetry_space_group_name_H-M 'R 3 c'
_symmetry_Int_Tables_number 161
_symmetry_space_group_name_Hall 'R 3 -2"c'
loop_
_atom_site_label
_atom_site_type_symbol
_atom_site_fract_x
_atom_site_fract_y
_atom_site_fract_z
_atom_site_occupancy
Rb1 Rb 0.0000 0.0000 0.0000 1
Ge1 Ge 0.0042 0.3563 0.2214 1
I1 I 0.0051 0.4335 0.1599 1
I2 I 0.1891 0.3901 0.5984 1
I3 I 0.1901 0.4083 0.7346 1
I4 I 0.1993 0.3995 0.8904 1
```

No. 3
Starting from a DFT-relaxed cell (GGA-PBE, Alexandria), the XRD peak list of Rb2GeSbI6 was computed for λ = 1.5418 Å (Cu Kα).
Neutral-atom scattering factors, no anomalous dispersion.

Top 10 peaks for 10° ≤ 2θ ≤ 90°, low angle first:
2θ (°)	I_rel
14.61	32
25.44	82
29.46	100
33.03	17
42.15	74
49.88	38
52.26	26
67.30	15
69.28	22
77.04	25

```
data_Rb2GeSbI6
_cell_length_a 8.571
_cell_length_b 8.571
_cell_length_c 12.142
_cell_angle_alpha 90.00
_cell_angle_beta 90.00
_cell_angle_gamma 90.00
_symmetry_space_group_name_H-M 'I 4/m m m'
_symmetry_Int_Tables_number 139
_symmetry_space_group_name_Hall '-I 4 2'
loop_
_atom_site_label
_atom_site_type_symbol
_atom_site_fract_x
_atom_site_fract_y
_atom_site_fract_z
_atom_site_occupancy
Rb1 Rb 0.000 0.500 0.250 1
Ge1 Ge 0.000 0.000 0.000 1
Sb1 Sb 0.000 0.000 0.500 1
I1 I 0.000 0.000 0.246 1
I2 I 0.246 0.246 0.000 1
```